[1]
For Pm3Tm4Sb4, a cell relaxed with GGA-PBE gives the theoretical XRD peak list in this record (a wavelength of 1.5418 Å).
No peak broadening, texture or thermal motion is included.

Unit cell a=11.1035 b=7.2572 c=7.2572 alpha=34.32 beta=90.00 gamma=90.00
Fractional coordinates of all 11 atoms:
Pm: 0.0000 0.0000 0.0000
Pm: 0.3497 0.0708 0.0708
Pm: 0.6503 0.0708 0.0708
Tm: 0.0000 0.2982 0.2982
Tm: 0.2440 0.7730 0.7730
Tm: 0.5000 0.3665 0.3665
Tm: 0.7560 0.7730 0.7730
Sb: 0.0000 0.6570 0.6570
Sb: 0.2184 0.4330 0.4330
Sb: 0.5000 0.6980 0.6980
Sb: 0.7816 0.4330 0.4330

Most intense lines, 10 to 80 degrees two-theta, sorted by position:
2θ/deg  intensity
27.3  19
28.4  72
29.6  23
32.2  26
32.6  33
32.8  100
34.8  21
39.2  17
42.2  32
42.4  23
57.8  15
61.3  15

[2]
For PmTm5Sb4, a cell relaxed with GGA-PBE gives the theoretical XRD peak list in this record (a wavelength of 1.5418 Å).
No peak broadening, texture or thermal motion is included.

Unit cell a=9.5371 b=9.5371 c=8.3790 alpha=106.36 beta=106.36 gamma=26.07
Fractional coordinates of all 10 atoms:
Pm: 0.0000 0.0000 0.0000
Tm: 0.0000 0.0000 0.5000
Tm: 0.3186 0.3186 0.6508
Tm: 0.3403 0.3403 0.1811
Tm: 0.6597 0.6597 0.8189
Tm: 0.6814 0.6814 0.3492
Sb: 0.1731 0.1731 0.0869
Sb: 0.4880 0.4880 0.7316
Sb: 0.5120 0.5120 0.2684
Sb: 0.8269 0.8269 0.9131

Most intense lines, 10 to 80 degrees two-theta, sorted by position:
2θ/deg  intensity
25.6  17
29.8  100
30.1  43
36.9  10
41.8  37
42.0  20
43.3  18
44.0  28
51.8  15
52.6  19
61.9  13
71.1  10

[3]
For Pm4Zn2Sb, a cell relaxed with GGA-PBE gives the theoretical XRD peak list in this record (a wavelength of 1.5418 Å).
No peak broadening, texture or thermal motion is included.

Unit cell a=9.0928 b=9.0928 c=9.0928 alpha=32.97 beta=32.97 gamma=32.97
Fractional coordinates of all 7 atoms:
Pm: 0.1180 0.1180 0.1180
Pm: 0.3688 0.3688 0.3688
Pm: 0.6312 0.6312 0.6312
Pm: 0.8820 0.8820 0.8820
Zn: 0.2542 0.2542 0.2542
Zn: 0.7458 0.7458 0.7458
Sb: 0.5000 0.5000 0.5000

Most intense lines, 10 to 80 degrees two-theta, sorted by position:
2θ/deg  intensity
24.2  35
26.4  14
31.5  8
34.3  95
34.8  100
42.8  8
49.7  33
61.2  13
62.0  34
62.3  18
72.3  8
73.4  11

[4]
For Pm4ZrSb5, a cell relaxed with GGA-PBE gives the theoretical XRD peak list in this record (a wavelength of 1.5418 Å).
No peak broadening, texture or thermal motion is included.

Unit cell a=15.8895 b=15.8895 c=15.8895 alpha=163.99 beta=163.99 gamma=22.72
Fractional coordinates of all 10 atoms:
Pm: 0.0991 0.0991 0.0000
Pm: 0.3019 0.3019 0.0000
Pm: 0.6981 0.6981 0.0000
Pm: 0.9009 0.9009 0.0000
Zr: 0.5000 0.5000 0.0000
Sb: 0.0000 0.0000 0.0000
Sb: 0.2000 0.2000 0.0000
Sb: 0.4048 0.4048 0.0000
Sb: 0.5952 0.5952 0.0000
Sb: 0.8000 0.8000 0.0000

Most intense lines, 10 to 80 degrees two-theta, sorted by position:
2θ/deg  intensity
28.5  90
28.7  43
32.8  1
40.8  100
50.6  35
59.0  11
59.3  5
66.8  16
66.9  15
67.1  14
74.3  22
74.5  10